Record 1
The following is a computed powder diffraction line list of CaScFe. It was derived from DFT lattice parameters and positions (PBE), using Cu Kα (λ = 1.5418 Å).
Neutral-atom scattering factors, no anomalous dispersion.

Main lines, sorted by position (2θ = 15–90°):
| two_theta | I_rel | hkl |
| --- | --- | --- |
| 32.45 | 100 | 1 0 1 |
| 39.90 | 58 | 0 1 2 |
| 50.25 | 21 | 0 1 3 |
| 52.55 | 25 | 1 1 0 |
| 63.13 | 12 | 0 2 1 |
| 67.78 | 7 | 1 1 3 |
| 67.96 | 10 | 2 0 2 |
| 76.66 | 6 | 1 0 5 |
| 78.50 | 10 | 1 1 4 |
| 86.56 | 10 | 2 1 1 |

Structural model:
Lattice parameters (Å, degrees): 3.4832 3.4832 6.8209 90.00 90.00 120.00
Space group P3m1 (No. 156)
One atom of each set of equivalent atoms:
Ca 0.0000 0.0000 0.0000
Sc 0.3333 0.6667 0.5335
Fe 0.6667 0.3333 0.3007

***

Record 2
The following is a computed powder diffraction line list of PaMn2Ni9. It was derived from DFT lattice parameters and positions (PBE), using Cu Kα (λ = 1.5418 Å).
Neutral-atom scattering factors, no anomalous dispersion.

Main lines, sorted by position (2θ = 15–90°):
| two_theta | I_rel | hkl |
| --- | --- | --- |
| 22.77 | 12 | 0 1 2 |
| 26.36 | 18 | 1 0 4 |
| 28.78 | 14 | 0 1 5 |
| 34.49 | 27 | 0 0 9 |
| 37.61 | 48 | 1 1 0 |
| 43.85 | 27 | 0 2 1 |
| 44.42 | 100 | 1 1 6 |
| 46.61 | 20 | 0 0 12 |
| 72.59 | 19 | 0 3 6 |
| 80.22 | 15 | 2 2 0 |

Structural model:
Lattice parameters (Å, degrees): 4.7866 4.7866 23.3810 90.00 90.00 120.00
Space group R-3m (No. 166, hexagonal axes)
One atom of each set of equivalent atoms:
Pa 0.0000 0.0000 0.0000
Mn 0.0000 0.0000 0.1460
Ni 0.0000 0.0000 0.3343
Ni 0.0000 0.0000 0.5000
Ni 0.0048 0.5024 0.9135